Starting from a cell relaxed with GGA+U, the X-ray diffraction stick pattern of NaCaZrFeSi2O8F was computed for Cu Kα, 1.54184 Å.
Lines closer than 0.1° are merged.

Peak list (10 most intense, 5 to 70 degrees two-theta, in order of falling intensity)
two_theta	intensity
30.32	100
31.33	72
27.19	33
12.79	29
21.97	25
50.13	22
51.77	16
44.75	14
51.10	13
60.89	13

Structural model:
```
NaCaZrFeSi2O8F
1.0
7.2816 0.0000 0.0000
0.0000 10.0527 0.0000
-3.3893 0.0000 10.4109
Na Ca Zr Fe Si O F
4 4 4 4 8 32 4
Direct
0.1621 0.1172 0.0717
0.1621 0.3828 0.5717
0.8379 0.6172 0.4283
0.8379 0.8828 0.9283
0.0254 0.6070 0.8042
0.0254 0.8930 0.3042
0.9746 0.1070 0.6958
0.9746 0.3930 0.1958
0.4789 0.0997 0.7128
0.4789 0.4003 0.2128
0.5211 0.5997 0.7872
0.5211 0.9003 0.2872
0.3663 0.6275 0.4422
0.3663 0.8725 0.9422
0.6337 0.1275 0.0578
0.6337 0.3725 0.5578
0.1704 0.6720 0.1175
0.1704 0.8280 0.6175
0.2806 0.1694 0.3799
0.2806 0.3306 0.8799
0.7194 0.6694 0.1201
0.7194 0.8306 0.6201
0.8296 0.1720 0.3825
0.8296 0.3280 0.8825
0.0494 0.1713 0.3697
0.0494 0.3287 0.8697
0.1635 0.7427 0.9833
0.1635 0.7573 0.4833
0.2304 0.5142 0.1245
0.2304 0.9858 0.6245
0.2834 0.2344 0.7590
0.2834 0.2656 0.2590
0.2942 0.7464 0.7468
0.2942 0.7536 0.2468
0.3219 0.0160 0.3466
0.3219 0.4840 0.8466
0.4075 0.2201 0.5213
0.4075 0.2799 0.0213
0.4587 0.5127 0.6173
0.4587 0.9873 0.1173
0.5413 0.0127 0.8827
0.5413 0.4873 0.3827
0.5925 0.7201 0.9787
0.5925 0.7799 0.4787
0.6781 0.5160 0.1534
0.6781 0.9840 0.6534
0.7058 0.2464 0.7532
0.7058 0.2536 0.2532
0.7166 0.7344 0.7410
0.7166 0.7656 0.2410
0.7696 0.0142 0.3755
0.7696 0.4858 0.8755
0.8365 0.2427 0.5167
0.8365 0.2573 0.0167
0.9506 0.6713 0.1303
0.9506 0.8287 0.6303
0.0895 0.0036 0.8833
0.0895 0.4964 0.3833
0.9105 0.5036 0.6167
0.9105 0.9964 0.1167
```

Starting from a cell relaxed with GGA+U, the X-ray diffraction stick pattern of Li2VSi6O15 was computed for Cu Kα, 1.54184 Å.
Lines closer than 0.1° are merged.

Peak list (10 most intense, 5 to 70 degrees two-theta, in order of falling intensity)
two_theta	intensity
18.65	100
28.15	81
27.43	60
10.69	51
17.73	47
24.17	40
24.80	39
31.17	36
28.65	33
37.82	30

Structural model:
```
Li2VSi6O15
1.0
-3.9839 7.3636 5.0017
3.9839 -7.3636 5.0017
3.9839 7.3636 -5.0017
Li V Si O
4 2 12 30
Direct
0.2546 0.0000 0.7546
0.2546 0.5000 0.2546
0.7454 0.0000 0.2454
0.7454 0.5000 0.7454
0.0000 0.0000 0.0000
0.5000 0.0000 0.5000
0.1096 0.2766 0.4582
0.1096 0.6513 0.8330
0.3183 0.2766 0.6670
0.3183 0.6513 0.0418
0.3760 0.7272 0.6488
0.4216 0.2728 0.1488
0.5784 0.7272 0.8512
0.6240 0.2728 0.3512
0.6817 0.3487 0.9582
0.6817 0.7234 0.3330
0.8904 0.3487 0.1670
0.8904 0.7234 0.5418
0.0162 0.2664 0.1064
0.0162 0.9097 0.7498
0.0241 0.3987 0.6253
0.1788 0.1853 0.5065
0.1788 0.6723 0.9935
0.2343 0.1658 0.0685
0.2639 0.4640 0.4715
0.2639 0.7924 0.7998
0.2734 0.3987 0.8747
0.3400 0.0903 0.6064
0.3400 0.7336 0.2498
0.4027 0.8342 0.5685
0.4574 0.2074 0.2500
0.4925 0.4640 0.7002
0.4925 0.7924 0.0285
0.5075 0.2076 0.9715
0.5075 0.5360 0.2998
0.5426 0.7926 0.7500
0.5973 0.1658 0.4315
0.6600 0.2664 0.7502
0.6600 0.9097 0.3936
0.7266 0.6013 0.1253
0.7361 0.2076 0.2002
0.7361 0.5360 0.5285
0.7657 0.8342 0.9315
0.8212 0.3277 0.0065
0.8212 0.8147 0.4935
0.9759 0.6013 0.3747
0.9838 0.0903 0.2502
0.9838 0.7336 0.8936
```

Starting from a cell relaxed with GGA+U, the X-ray diffraction stick pattern of BaGd2CoO5 was computed for Cu Kα, 1.54184 Å.
Lines closer than 0.1° are merged.

Peak list (10 most intense, 5 to 70 degrees two-theta, in order of falling intensity)
two_theta	intensity
32.09	100
27.60	34
30.42	31
55.11	22
56.03	17
43.85	16
45.87	16
48.10	14
39.60	14
30.82	11

Structural model:
```
BaGd2CoO5
1.0
-1.8915 2.9387 5.8032
1.8915 -2.9387 5.8032
1.8915 2.9387 -5.8032
Ba Gd Co O
1 2 1 5
Direct
0.0000 0.0000 0.0000
0.2973 0.7973 0.5000
0.7027 0.2027 0.5000
0.5000 0.5000 0.0000
0.1118 0.3526 0.7592
0.4066 0.6474 0.7592
0.5000 0.0000 0.5000
0.5934 0.3526 0.2408
0.8882 0.6474 0.2408
```